1.
# Li5Au6
Computed X-ray diffraction stick pattern, copper Kα. Input: DFT lattice parameters and positions (PBE).

Principal peaks in the range 10 to 90 degrees two-theta, sorted by position:
2θ (°)	d (Å)	intensity	hkl
24.37	3.653	100	1 0 1
30.59	2.922	57	1 0 -2
31.80	2.814	52	0 2 -1
39.49	2.282	63	0 0 3
40.47	2.229	59	1 2 0
44.59	2.032	23	-1 2 1
51.46	1.776	27	0 2 2
51.67	1.769	27	0 2 -4

```
data_Li5Au6
_cell_length_a 4.679
_cell_length_b 5.628
_cell_length_c 7.432
_cell_angle_alpha 111.99
_cell_angle_beta 96.11
_cell_angle_gamma 90.16
_space_group_name_H-M_alt 'P -1'
_space_group_IT_number 2
_space_group_name_Hall '-P 1'
loop_
_atom_site_label
_atom_site_fract_x
_atom_site_fract_y
_atom_site_fract_z
Li1 0.000 0.000 0.000
Li2 0.312 0.335 0.670
Li3 0.322 0.833 0.667
Au1 0.182 0.419 0.335
Au2 0.183 0.917 0.335
Au3 0.499 0.747 0.000
```


2.
# Nb4TlTe8
Computed X-ray diffraction stick pattern, copper Kα. Input: DFT lattice parameters and positions (PBE).

Principal peaks in the range 10 to 90 degrees two-theta, sorted by position:
2θ (°)	d (Å)	intensity	hkl
28.47	3.135	48	6 0 -3
28.66	3.114	65	2 0 -4
30.78	2.905	100	3 1 0
31.43	2.846	31	4 0 1
31.67	2.825	76	3 1 -3
37.38	2.406	71	5 1 -4
47.25	1.924	56	1 1 4
49.82	1.830	30	0 2 0

```
data_Nb4TlTe8
_cell_length_a 18.841
_cell_length_b 3.660
_cell_length_c 13.370
_cell_angle_alpha 90.00
_cell_angle_beta 130.53
_cell_angle_gamma 90.00
_space_group_name_H-M_alt 'C 1 2/m 1'
_space_group_IT_number 12
_space_group_name_Hall '-C 2y'
loop_
_atom_site_label
_atom_site_fract_x
_atom_site_fract_y
_atom_site_fract_z
Nb1 0.163 0.000 0.475
Nb2 0.180 0.500 0.860
Tl1 0.000 0.000 0.000
Te1 0.034 0.000 0.744
Te2 0.124 0.500 0.596
Te3 0.150 0.500 0.303
Te4 0.184 0.500 0.072
```


3.
# BaNb2Tc
Computed X-ray diffraction stick pattern, copper Kα. Input: DFT lattice parameters and positions (PBE).

Principal peaks in the range 10 to 90 degrees two-theta, sorted by position:
2θ (°)	d (Å)	intensity	hkl
22.45	3.960	1	1 1 1
25.98	3.430	1	2 0 0
37.07	2.425	100	2 2 0
43.77	2.068	1	3 1 1
53.43	1.715	17	4 0 0
66.82	1.400	34	4 2 2
78.95	1.213	11	4 4 0

```
data_BaNb2Tc
_cell_length_a 6.859
_cell_length_b 6.859
_cell_length_c 6.859
_cell_angle_alpha 90.00
_cell_angle_beta 90.00
_cell_angle_gamma 90.00
_space_group_name_H-M_alt 'F m -3 m'
_space_group_IT_number 225
_space_group_name_Hall '-F 4 2 3'
loop_
_atom_site_label
_atom_site_fract_x
_atom_site_fract_y
_atom_site_fract_z
Ba1 0.000 0.000 0.000
Nb1 0.250 0.250 0.250
Tc1 0.000 0.000 0.500
```


4.
# Zr6SnSb5
Computed X-ray diffraction stick pattern, copper Kα. Input: DFT lattice parameters and positions (PBE).

Principal peaks in the range 10 to 90 degrees two-theta, sorted by position:
2θ (°)	d (Å)	intensity	hkl
30.53	2.928	100	1 3 1
43.73	2.070	74	2 0 2
54.27	1.690	26	4 0 0
63.56	1.464	12	2 6 2
72.13	1.310	27	4 6 0
72.22	1.308	5	3 3 3
80.30	1.196	16	6 0 -2
80.39	1.194	8	5 3 1

```
data_Zr6SnSb5
_cell_length_a 7.173
_cell_length_b 12.427
_cell_length_c 7.170
_cell_angle_alpha 90.00
_cell_angle_beta 109.56
_cell_angle_gamma 90.00
_space_group_name_H-M_alt 'C 1 2/m 1'
_space_group_IT_number 12
_space_group_name_Hall '-C 2y'
loop_
_atom_site_label
_atom_site_fract_x
_atom_site_fract_y
_atom_site_fract_z
Zr1 0.250 0.000 0.248
Zr2 0.250 0.166 0.750
Sn1 0.000 0.500 0.000
Sb1 0.000 0.000 0.500
Sb2 0.000 0.167 0.000
Sb3 0.000 0.334 0.500
```


5.
# Tl3Cd3Ga8
Computed X-ray diffraction stick pattern, copper Kα. Input: DFT lattice parameters and positions (PBE).

Principal peaks in the range 10 to 90 degrees two-theta, sorted by position:
2θ (°)	d (Å)	intensity	hkl
27.89	3.199	10	1 0 3
32.04	2.793	17	0 3 3
32.86	2.725	100	1 2 3
35.39	2.537	14	1 3 2
38.31	2.349	19	0 0 6
41.33	2.185	21	2 0 0
57.62	1.600	11	2 0 6
70.02	1.344	11	3 2 3

```
data_Tl3Cd3Ga8
_cell_length_a 4.369
_cell_length_b 10.420
_cell_length_c 14.096
_cell_angle_alpha 90.00
_cell_angle_beta 90.00
_cell_angle_gamma 90.00
_space_group_name_H-M_alt 'I m m m'
_space_group_IT_number 71
_space_group_name_Hall '-I 2 2'
loop_
_atom_site_label
_atom_site_fract_x
_atom_site_fract_y
_atom_site_fract_z
Tl1 0.000 0.000 0.000
Tl2 0.000 0.000 0.309
Cd1 0.000 0.208 0.500
Cd2 0.000 0.500 0.000
Ga1 0.000 0.275 0.152
Ga2 0.000 0.373 0.334
```